# 1
Diffraction record for Rb2Cd2F5. The powder diffractogram is computed, not measured: it uses a DFT-relaxed cell (GGA-PBE, Alexandria) and CuKα.

Cell and atoms:
```
Rb2Cd2F5
1.0
4.667 0.000 0.000
0.000 4.667 0.000
0.000 0.000 7.759
Rb Cd F
2 2 5
Direct
0.000 0.000 0.000 Rb
0.000 0.000 0.500 Rb
0.500 0.500 0.210 Cd
0.500 0.500 0.790 Cd
0.000 0.500 0.222 F
0.000 0.500 0.778 F
0.500 0.000 0.222 F
0.500 0.000 0.778 F
0.500 0.500 0.500 F
```

The 12 most intense peaks (2θ = 15–90°), in order of rising 2θ:
hkl 1 1 0, 2θ = 27.02°, intensity 60.5; hkl 1 0 2, 2θ = 29.95°, intensity 100.0; hkl 2 0 0, 2θ = 38.59°, intensity 49.7; hkl 1 0 3, 2θ = 39.85°, intensity 11.3; hkl 0 0 4, 2θ = 46.83°, intensity 7.7; hkl 2 1 2, 2θ = 49.60°, intensity 47.9; hkl 1 1 4, 2θ = 54.90°, intensity 9.4; hkl 2 2 0, 2θ = 55.71°, intensity 15.8; hkl 2 0 4, 2θ = 62.24°, intensity 12.4; hkl 3 1 0, 2θ = 62.99°, intensity 11.2; hkl 3 0 2, 2θ = 64.55°, intensity 10.7; hkl 3 2 2, 2θ = 77.79°, intensity 12.6

# 2
Diffraction record for Al5ZnCo4. The powder diffractogram is computed, not measured: it uses a DFT-relaxed cell (GGA-PBE, Alexandria) and CuKα.

Cell and atoms:
```
Al5ZnCo4
1.0
2.838 0.000 0.000
0.000 2.838 0.000
0.000 0.000 15.426
Al Zn Co
5 1 4
Direct
0.000 0.000 0.000 Al
0.000 0.000 0.187 Al
0.000 0.000 0.374 Al
0.000 0.000 0.626 Al
0.000 0.000 0.813 Al
0.500 0.500 0.500 Zn
0.500 0.500 0.094 Co
0.500 0.500 0.284 Co
0.500 0.500 0.716 Co
0.500 0.500 0.906 Co
```

The 12 most intense peaks (2θ = 15–90°), in order of rising 2θ:
hkl 0 0 5, 2θ = 28.94°, intensity 15.9; hkl 1 0 0, 2θ = 31.53°, intensity 24.6; hkl 1 0 4, 2θ = 39.42°, intensity 6.8; hkl 1 0 5, 2θ = 43.32°, intensity 100.0; hkl 1 1 0, 2θ = 45.19°, intensity 52.9; hkl 1 0 6, 2θ = 47.73°, intensity 9.4; hkl 1 1 5, 2θ = 54.56°, intensity 9.7; hkl 0 0 10, 2θ = 59.97°, intensity 5.0; hkl 2 0 0, 2θ = 65.82°, intensity 16.1; hkl 1 1 10, 2θ = 78.15°, intensity 8.8; hkl 2 1 5, 2θ = 82.12°, intensity 27.6; hkl 1 1 11, 2θ = 84.24°, intensity 5.1

# 3
Diffraction record for Al4HgCl2. The powder diffractogram is computed, not measured: it uses a DFT-relaxed cell (GGA-PBE, Alexandria) and CuKα.

Cell and atoms:
```
Al4HgCl2
1.0
5.003 0.000 0.000
0.000 5.003 0.000
0.000 0.000 16.458
Al Hg Cl
8 2 4
Direct
0.000 0.000 0.249 Al
0.000 0.000 0.751 Al
0.000 0.500 0.000 Al
0.000 0.500 0.500 Al
0.500 0.000 0.000 Al
0.500 0.000 0.500 Al
0.500 0.500 0.251 Al
0.500 0.500 0.749 Al
0.000 0.000 0.500 Hg
0.500 0.500 0.000 Hg
0.000 0.000 0.102 Cl
0.000 0.000 0.898 Cl
0.500 0.500 0.398 Cl
0.500 0.500 0.602 Cl
```

The 12 most intense peaks (2θ = 15–90°), in order of rising 2θ:
hkl 1 0 1, 2θ = 18.53°, intensity 65.4; hkl 0 0 4, 2θ = 21.60°, intensity 39.0; hkl 1 0 3, 2θ = 24.07°, intensity 100.0; hkl 1 1 0, 2θ = 25.17°, intensity 66.5; hkl 1 0 5, 2θ = 32.57°, intensity 71.9; hkl 2 0 0, 2θ = 35.90°, intensity 50.8; hkl 2 0 2, 2θ = 37.58°, intensity 30.4; hkl 2 1 1, 2θ = 40.69°, intensity 21.3; hkl 2 0 4, 2θ = 42.28°, intensity 28.3; hkl 1 0 7, 2θ = 42.48°, intensity 21.3; hkl 2 1 3, 2θ = 43.69°, intensity 41.5; hkl 2 1 5, 2θ = 49.25°, intensity 47.5

# 4
Diffraction record for PuBi2Rh2. The powder diffractogram is computed, not measured: it uses a DFT-relaxed cell (GGA-PBE, Alexandria) and CuKα.

Cell and atoms:
```
PuBi2Rh2
1.0
5.290 0.000 0.000
0.000 4.349 0.000
-2.314 0.000 10.327
Pu Bi Rh
2 4 4
Direct
0.110 0.250 0.368 Pu
0.890 0.750 0.632 Pu
0.221 0.750 0.964 Bi
0.413 0.250 0.705 Bi
0.587 0.750 0.295 Bi
0.779 0.250 0.036 Bi
0.046 0.750 0.196 Rh
0.342 0.750 0.530 Rh
0.658 0.250 0.470 Rh
0.954 0.250 0.804 Rh
```

The 12 most intense peaks (2θ = 15–90°), in order of rising 2θ:
hkl 0 0 3, 2θ = 25.88°, intensity 24.3; hkl 1 1 -1, 2θ = 26.98°, intensity 94.0; hkl 0 1 3, 2θ = 33.19°, intensity 69.9; hkl 1 1 2, 2θ = 34.06°, intensity 100.0; hkl 2 0 -2, 2θ = 35.31°, intensity 79.5; hkl 2 0 1, 2θ = 37.73°, intensity 30.2; hkl 1 1 -4, 2θ = 41.13°, intensity 76.6; hkl 0 2 0, 2θ = 41.53°, intensity 51.7; hkl 2 1 1, 2θ = 43.27°, intensity 29.1; hkl 1 0 5, 2θ = 51.10°, intensity 26.3; hkl 2 2 -2, 2θ = 55.62°, intensity 48.0; hkl 1 2 5, 2θ = 67.88°, intensity 22.7